Computed powder diffractogram
Compound: YNi5H4
Radiation: Cu Kα, 1.54184 Å
Structure: a DFT-relaxed cell (GGA-PBE, Alexandria)
Kinematic intensities with the Lorentz-polarization factor, no thermal factor.

Cell and atoms:
```
data_YNi5H4
_cell_length_a 5.4777
_cell_length_b 7.7953
_cell_length_c 4.2826
_cell_angle_alpha 90.00
_cell_angle_beta 90.00
_cell_angle_gamma 90.00
_space_group_name_H-M_alt 'P 1'
_space_group_IT_number 1
_space_group_name_Hall 'P 1'
loop_
_atom_site_label
_atom_site_fract_x
_atom_site_fract_y
_atom_site_fract_z
Y1 0.2500 0.2500 0.2419
Y2 0.7500 0.7500 0.7581
Ni1 0.0104 0.5783 0.2421
Ni2 0.0104 0.9217 0.2421
Ni3 0.2500 0.7500 0.7653
Ni4 0.4896 0.5783 0.2421
Ni5 0.4896 0.9217 0.2421
Ni6 0.5104 0.0783 0.7579
Ni7 0.5104 0.4217 0.7579
Ni8 0.7500 0.2500 0.2347
Ni9 0.9896 0.0783 0.7579
Ni10 0.9896 0.4217 0.7579
H1 0.0696 0.7500 0.4428
H2 0.2500 0.5288 0.9439
H3 0.2500 0.9712 0.9439
H4 0.4304 0.7500 0.4428
H5 0.5696 0.2500 0.5572
H6 0.7500 0.0288 0.0561
H7 0.7500 0.4712 0.0561
H8 0.9304 0.2500 0.5572
```

Principal peaks in the range 15 to 90 degrees two-theta, by angle:
2θ = 40.24°, d = 2.241 Å, I = 52
2θ = 40.61°, d = 2.221 Å, I = 100
2θ = 40.78°, d = 2.212 Å, I = 89
2θ = 42.20°, d = 2.141 Å, I = 44
2θ = 58.09°, d = 1.588 Å, I = 13
2θ = 59.73°, d = 1.548 Å, I = 31
2θ = 73.28°, d = 1.292 Å, I = 19
2θ = 76.07°, d = 1.251 Å, I = 14
2θ = 76.19°, d = 1.250 Å, I = 12
2θ = 82.80°, d = 1.166 Å, I = 21

Computed powder diffractogram
Compound: Pm2Si9Ru3
Radiation: Cu Kα, 1.54184 Å
Structure: a DFT-relaxed cell (GGA-PBE, Alexandria)
Kinematic intensities with the Lorentz-polarization factor, no thermal factor.

Cell and atoms:
```
data_Pm2Si9Ru3
_cell_length_a 7.5334
_cell_length_b 7.5334
_cell_length_c 10.2240
_cell_angle_alpha 111.44
_cell_angle_beta 111.44
_cell_angle_gamma 57.49
_space_group_name_H-M_alt 'P 1'
_space_group_IT_number 1
_space_group_name_Hall 'P 1'
loop_
_atom_site_label
_atom_site_fract_x
_atom_site_fract_y
_atom_site_fract_z
Pm1 0.0808 0.2463 0.2492
Pm2 0.2463 0.0808 0.7492
Pm3 0.7537 0.9192 0.2508
Pm4 0.9192 0.7537 0.7508
Si1 0.0308 0.8486 0.0683
Si2 0.1514 0.9692 0.4317
Si3 0.1813 0.3565 0.5635
Si4 0.2188 0.5547 0.2501
Si5 0.3117 0.4808 0.9410
Si6 0.3565 0.1813 0.0635
Si7 0.4109 0.5891 0.7500
Si8 0.4453 0.7812 0.2499
Si9 0.4808 0.3117 0.4410
Si10 0.5192 0.6883 0.5590
Si11 0.5547 0.2188 0.7501
Si12 0.5891 0.4109 0.2500
Si13 0.6435 0.8187 0.9365
Si14 0.6883 0.5192 0.0590
Si15 0.7812 0.4453 0.7499
Si16 0.8187 0.6435 0.4365
Si17 0.8486 0.0308 0.5683
Si18 0.9692 0.1514 0.9317
Ru1 0.0000 0.5000 0.0000
Ru2 0.1799 0.6636 0.5042
Ru3 0.3364 0.8201 0.9958
Ru4 0.5000 0.0000 0.5000
Ru5 0.6636 0.1799 0.0042
Ru6 0.8201 0.3364 0.4958
```

Principal peaks in the range 15 to 90 degrees two-theta, by angle:
2θ = 26.39°, d = 3.377 Å, I = 38
2θ = 30.37°, d = 2.943 Å, I = 56
2θ = 30.77°, d = 2.906 Å, I = 55
2θ = 31.31°, d = 2.857 Å, I = 64
2θ = 37.36°, d = 2.407 Å, I = 42
2θ = 37.85°, d = 2.377 Å, I = 46
2θ = 38.23°, d = 2.354 Å, I = 44
2θ = 38.76°, d = 2.323 Å, I = 59
2θ = 41.00°, d = 2.201 Å, I = 61
2θ = 42.70°, d = 2.117 Å, I = 100

Computed powder diffractogram
Compound: Tl2AgBr4
Radiation: Cu Kα, 1.54184 Å
Structure: a DFT-relaxed cell (GGA-PBE, Alexandria)
Kinematic intensities with the Lorentz-polarization factor, no thermal factor.

Cell and atoms:
```
data_Tl2AgBr4
_cell_length_a 7.5172
_cell_length_b 16.0388
_cell_length_c 7.9287
_cell_angle_alpha 90.00
_cell_angle_beta 90.00
_cell_angle_gamma 90.00
_space_group_name_H-M_alt 'P 1'
_space_group_IT_number 1
_space_group_name_Hall 'P 1'
loop_
_atom_site_label
_atom_site_fract_x
_atom_site_fract_y
_atom_site_fract_z
Tl1 0.0242 0.1376 0.0403
Tl2 0.0242 0.3624 0.5403
Tl3 0.4758 0.6376 0.0403
Tl4 0.4758 0.8624 0.5403
Tl5 0.5242 0.1376 0.4597
Tl6 0.5242 0.3624 0.9597
Tl7 0.9758 0.6376 0.4597
Tl8 0.9758 0.8624 0.9597
Ag1 0.0000 0.0000 0.5000
Ag2 0.0000 0.5000 0.0000
Ag3 0.5000 0.0000 0.0000
Ag4 0.5000 0.5000 0.5000
Br1 0.0167 0.6684 0.0523
Br2 0.0167 0.8316 0.5523
Br3 0.2467 0.5192 0.7439
Br4 0.2467 0.9808 0.2439
Br5 0.2533 0.0192 0.7439
Br6 0.2533 0.4808 0.2439
Br7 0.4833 0.1684 0.0523
Br8 0.4833 0.3316 0.5523
Br9 0.5167 0.6684 0.4477
Br10 0.5167 0.8316 0.9477
Br11 0.7467 0.5192 0.7561
Br12 0.7467 0.9808 0.2561
Br13 0.7533 0.0192 0.7561
Br14 0.7533 0.4808 0.2561
Br15 0.9833 0.1684 0.4477
Br16 0.9833 0.3316 0.9477
```

Principal peaks in the range 15 to 90 degrees two-theta, by angle:
2θ = 22.43°, d = 3.964 Å, I = 44
2θ = 23.30°, d = 3.818 Å, I = 69
2θ = 23.67°, d = 3.759 Å, I = 50
2θ = 31.74°, d = 2.819 Å, I = 36
2θ = 32.38°, d = 2.765 Å, I = 45
2θ = 32.66°, d = 2.742 Å, I = 41
2θ = 32.84°, d = 2.728 Å, I = 100
2θ = 33.52°, d = 2.673 Å, I = 30
2θ = 35.77°, d = 2.510 Å, I = 27
2θ = 47.63°, d = 1.909 Å, I = 34

Computed powder diffractogram
Compound: DySc2Ga6
Radiation: Cu Kα, 1.54184 Å
Structure: a DFT-relaxed cell (GGA-PBE, Alexandria)
Kinematic intensities with the Lorentz-polarization factor, no thermal factor.

Cell and atoms:
```
data_DySc2Ga6
_cell_length_a 7.6146
_cell_length_b 7.6146
_cell_length_c 3.3413
_cell_angle_alpha 90.00
_cell_angle_beta 90.00
_cell_angle_gamma 120.00
_space_group_name_H-M_alt 'P 1'
_space_group_IT_number 1
_space_group_name_Hall 'P 1'
loop_
_atom_site_label
_atom_site_fract_x
_atom_site_fract_y
_atom_site_fract_z
Dy1 0.0000 0.0000 0.0000
Sc1 0.3333 0.6667 0.0000
Sc2 0.6667 0.3333 0.0000
Ga1 0.0000 0.3367 0.5000
Ga2 0.0000 0.6633 0.5000
Ga3 0.3367 0.0000 0.5000
Ga4 0.3367 0.3367 0.5000
Ga5 0.6633 0.0000 0.5000
Ga6 0.6633 0.6633 0.5000
```

Principal peaks in the range 15 to 90 degrees two-theta, by angle:
2θ = 27.04°, d = 3.297 Å, I = 7
2θ = 29.98°, d = 2.981 Å, I = 10
2θ = 35.75°, d = 2.511 Å, I = 100
2θ = 41.06°, d = 2.198 Å, I = 73
2θ = 54.96°, d = 1.671 Å, I = 10
2θ = 55.56°, d = 1.654 Å, I = 27
2θ = 70.85°, d = 1.330 Å, I = 27
2θ = 71.37°, d = 1.322 Å, I = 25
2θ = 74.81°, d = 1.269 Å, I = 12
2θ = 89.09°, d = 1.099 Å, I = 8

Computed powder diffractogram
Compound: Sr4LaMg5
Radiation: Cu Kα, 1.54184 Å
Structure: a DFT-relaxed cell (GGA-PBE, Alexandria)
Kinematic intensities with the Lorentz-polarization factor, no thermal factor.

Cell and atoms:
```
data_Sr4LaMg5
_cell_length_a 4.1190
_cell_length_b 4.1190
_cell_length_c 20.8404
_cell_angle_alpha 90.00
_cell_angle_beta 90.00
_cell_angle_gamma 90.00
_space_group_name_H-M_alt 'P 1'
_space_group_IT_number 1
_space_group_name_Hall 'P 1'
loop_
_atom_site_label
_atom_site_fract_x
_atom_site_fract_y
_atom_site_fract_z
Sr1 0.0000 0.0000 0.1028
Sr2 0.0000 0.0000 0.3070
Sr3 0.0000 0.0000 0.6930
Sr4 0.0000 0.0000 0.8972
La1 0.0000 0.0000 0.5000
Mg1 0.5000 0.5000 0.0000
Mg2 0.5000 0.5000 0.2044
Mg3 0.5000 0.5000 0.4113
Mg4 0.5000 0.5000 0.5887
Mg5 0.5000 0.5000 0.7956
```

Principal peaks in the range 15 to 90 degrees two-theta, by angle:
2θ = 21.32°, d = 4.168 Å, I = 21
2θ = 21.57°, d = 4.119 Å, I = 41
2θ = 30.51°, d = 2.930 Å, I = 100
2θ = 30.70°, d = 2.913 Å, I = 51
2θ = 37.68°, d = 2.387 Å, I = 20
2θ = 43.96°, d = 2.060 Å, I = 19
2θ = 54.11°, d = 1.695 Å, I = 18
2θ = 54.46°, d = 1.685 Å, I = 38
2θ = 63.51°, d = 1.465 Å, I = 11
2θ = 72.53°, d = 1.303 Å, I = 16

Computed powder diffractogram
Compound: NdSm12Tm7
Radiation: Cu Kα, 1.54184 Å
Structure: a DFT-relaxed cell (GGA-PBE, Alexandria)
Kinematic intensities with the Lorentz-polarization factor, no thermal factor.

Cell and atoms:
```
data_NdSm12Tm7
_cell_length_a 8.7924
_cell_length_b 8.7924
_cell_length_c 8.7924
_cell_angle_alpha 98.14
_cell_angle_beta 98.14
_cell_angle_gamma 98.14
_space_group_name_H-M_alt 'P 1'
_space_group_IT_number 1
_space_group_name_Hall 'P 1'
loop_
_atom_site_label
_atom_site_fract_x
_atom_site_fract_y
_atom_site_fract_z
Nd1 0.0000 0.0000 0.0000
Sm1 0.0913 0.3591 0.3591
Sm2 0.2371 0.5000 0.7629
Sm3 0.2371 0.7629 0.5000
Sm4 0.3590 0.0913 0.3590
Sm5 0.3590 0.3591 0.0913
Sm6 0.5000 0.2371 0.7629
Sm7 0.5000 0.7629 0.2371
Sm8 0.6410 0.6410 0.9087
Sm9 0.6410 0.9087 0.6410
Sm10 0.7629 0.2371 0.5000
Sm11 0.7629 0.5000 0.2371
Sm12 0.9087 0.6409 0.6410
Tm1 0.0999 0.0999 0.6604
Tm2 0.0999 0.6604 0.0999
Tm3 0.3396 0.9001 0.9001
Tm4 0.5000 0.5000 0.5000
Tm5 0.6604 0.0999 0.0999
Tm6 0.9001 0.3396 0.9001
Tm7 0.9001 0.9001 0.3396
```

Principal peaks in the range 15 to 90 degrees two-theta, by angle:
2θ = 28.77°, d = 3.103 Å, I = 46
2θ = 31.27°, d = 2.861 Å, I = 100
2θ = 31.87°, d = 2.808 Å, I = 75
2θ = 34.13°, d = 2.627 Å, I = 36
2θ = 34.69°, d = 2.586 Å, I = 13
2θ = 48.59°, d = 1.874 Å, I = 27
2θ = 55.32°, d = 1.661 Å, I = 18
2θ = 56.40°, d = 1.631 Å, I = 30
2θ = 57.90°, d = 1.593 Å, I = 14
2θ = 84.23°, d = 1.150 Å, I = 16

Computed powder diffractogram
Compound: U3In3AgTe8
Radiation: Cu Kα, 1.54184 Å
Structure: a DFT-relaxed cell (GGA-PBE, Alexandria)
Kinematic intensities with the Lorentz-polarization factor, no thermal factor.

Cell and atoms:
```
data_U3In3AgTe8
_cell_length_a 8.5600
_cell_length_b 8.5600
_cell_length_c 9.6175
_cell_angle_alpha 116.34
_cell_angle_beta 116.34
_cell_angle_gamma 60.11
_space_group_name_H-M_alt 'P 1'
_space_group_IT_number 1
_space_group_name_Hall 'P 1'
loop_
_atom_site_label
_atom_site_fract_x
_atom_site_fract_y
_atom_site_fract_z
U1 0.0000 0.0000 0.0000
U2 0.0000 0.5000 0.0000
U3 0.5000 0.0000 0.0000
In1 0.0000 0.5000 0.5000
In2 0.5000 0.0000 0.5000
In3 0.5000 0.5000 0.5000
Ag1 0.5000 0.5000 0.0000
Te1 0.2316 0.7431 0.2178
Te2 0.2416 0.2416 0.2248
Te3 0.2569 0.7684 0.7822
Te4 0.2582 0.2582 0.7832
Te5 0.7418 0.7418 0.2168
Te6 0.7431 0.2316 0.2178
Te7 0.7584 0.7584 0.7752
Te8 0.7684 0.2569 0.7822
```

Principal peaks in the range 15 to 90 degrees two-theta, by angle:
2θ = 28.04°, d = 3.182 Å, I = 100
2θ = 35.05°, d = 2.560 Å, I = 10
2θ = 37.85°, d = 2.377 Å, I = 41
2θ = 42.21°, d = 2.141 Å, I = 34
2θ = 43.86°, d = 2.064 Å, I = 8
2θ = 51.40°, d = 1.778 Å, I = 12
2θ = 57.97°, d = 1.591 Å, I = 12
2θ = 62.49°, d = 1.486 Å, I = 16
2θ = 68.69°, d = 1.367 Å, I = 10
2θ = 74.22°, d = 1.278 Å, I = 8

Computed powder diffractogram
Compound: Dy6Cd5Hg
Radiation: Cu Kα, 1.54184 Å
Structure: a DFT-relaxed cell (GGA-PBE, Alexandria)
Kinematic intensities with the Lorentz-polarization factor, no thermal factor.

Cell and atoms:
```
data_Dy6Cd5Hg
_cell_length_a 5.2785
_cell_length_b 7.4828
_cell_length_c 8.3614
_cell_angle_alpha 90.00
_cell_angle_beta 108.23
_cell_angle_gamma 90.00
_space_group_name_H-M_alt 'P 1'
_space_group_IT_number 1
_space_group_name_Hall 'P 1'
loop_
_atom_site_label
_atom_site_fract_x
_atom_site_fract_y
_atom_site_fract_z
Dy1 0.0000 0.2474 0.0000
Dy2 0.0000 0.7526 0.0000
Dy3 0.3346 0.2500 0.6692
Dy4 0.3346 0.7500 0.6692
Dy5 0.6654 0.2500 0.3308
Dy6 0.6654 0.7500 0.3308
Cd1 0.1678 0.5000 0.3355
Cd2 0.1707 0.0000 0.3415
Cd3 0.5000 0.5000 0.0000
Cd4 0.8293 0.0000 0.6585
Cd5 0.8322 0.5000 0.6645
Hg1 0.5000 0.0000 0.0000
```

Principal peaks in the range 15 to 90 degrees two-theta, by angle:
2θ = 33.89°, d = 2.645 Å, I = 100
2θ = 33.97°, d = 2.639 Å, I = 20
2θ = 48.66°, d = 1.871 Å, I = 14
2θ = 48.80°, d = 1.866 Å, I = 7
2θ = 60.61°, d = 1.528 Å, I = 22
2θ = 60.69°, d = 1.526 Å, I = 15
2θ = 60.79°, d = 1.524 Å, I = 7
2θ = 71.26°, d = 1.323 Å, I = 7
2θ = 81.25°, d = 1.184 Å, I = 5
2θ = 81.34°, d = 1.183 Å, I = 8

Computed powder diffractogram
Compound: Na2Ti9O19
Radiation: Cu Kα, 1.54184 Å
Structure: a DFT-relaxed cell (GGA-PBE, Alexandria)
Kinematic intensities with the Lorentz-polarization factor, no thermal factor.

Cell and atoms:
```
data_Na2Ti9O19
_cell_length_a 6.4267
_cell_length_b 6.4267
_cell_length_c 15.8266
_cell_angle_alpha 103.29
_cell_angle_beta 103.29
_cell_angle_gamma 34.47
_space_group_name_H-M_alt 'P 1'
_space_group_IT_number 1
_space_group_name_Hall 'P 1'
loop_
_atom_site_label
_atom_site_fract_x
_atom_site_fract_y
_atom_site_fract_z
Na1 0.1700 0.1700 0.4611
Na2 0.8300 0.8300 0.5389
Ti1 0.2878 0.2878 0.2979
Ti2 0.3126 0.3126 0.8835
Ti3 0.3902 0.3902 0.1197
Ti4 0.4192 0.4192 0.7083
Ti5 0.5000 0.5000 0.5000
Ti6 0.5808 0.5808 0.2917
Ti7 0.6098 0.6098 0.8803
Ti8 0.6874 0.6874 0.1165
Ti9 0.7122 0.7122 0.7021
O1 0.0000 0.0000 0.5000
O2 0.1223 0.1223 0.2954
O3 0.1464 0.1464 0.8791
O4 0.2257 0.2257 0.1423
O5 0.2530 0.2530 0.7273
O6 0.3440 0.3440 0.4137
O7 0.3662 0.3662 0.9983
O8 0.4135 0.4135 0.5916
O9 0.4224 0.4224 0.2575
O10 0.4521 0.4521 0.8476
O11 0.5479 0.5479 0.1524
O12 0.5776 0.5776 0.7425
O13 0.5865 0.5865 0.4084
O14 0.6338 0.6338 0.0017
O15 0.6560 0.6560 0.5863
O16 0.7470 0.7470 0.2727
O17 0.7743 0.7743 0.8577
O18 0.8536 0.8536 0.1209
O19 0.8777 0.8777 0.7046
```

Principal peaks in the range 15 to 90 degrees two-theta, by angle:
2θ = 17.21°, d = 5.152 Å, I = 17
2θ = 20.96°, d = 4.239 Å, I = 18
2θ = 24.54°, d = 3.628 Å, I = 100
2θ = 29.07°, d = 3.072 Å, I = 61
2θ = 29.44°, d = 3.034 Å, I = 18
2θ = 41.13°, d = 2.194 Å, I = 23
2θ = 44.28°, d = 2.046 Å, I = 31
2θ = 47.76°, d = 1.904 Å, I = 45
2θ = 56.89°, d = 1.619 Å, I = 15
2θ = 57.92°, d = 1.592 Å, I = 33

Computed powder diffractogram
Compound: SiSb3
Radiation: Cu Kα, 1.54184 Å
Structure: a DFT-relaxed cell (GGA-PBE, Alexandria)
Kinematic intensities with the Lorentz-polarization factor, no thermal factor.

Cell and atoms:
```
data_SiSb3
_cell_length_a 3.9316
_cell_length_b 3.9316
_cell_length_c 7.8613
_cell_angle_alpha 90.00
_cell_angle_beta 90.00
_cell_angle_gamma 120.00
_space_group_name_H-M_alt 'P 1'
_space_group_IT_number 1
_space_group_name_Hall 'P 1'
loop_
_atom_site_label
_atom_site_fract_x
_atom_site_fract_y
_atom_site_fract_z
Si1 0.0000 0.0000 0.0000
Sb1 0.0000 0.0000 0.5000
Sb2 0.3333 0.6667 0.2222
Sb3 0.3333 0.6667 0.7778
```

Principal peaks in the range 15 to 90 degrees two-theta, by angle:
2θ = 26.17°, d = 3.405 Å, I = 44
2θ = 28.57°, d = 3.124 Å, I = 22
2θ = 34.86°, d = 2.574 Å, I = 100
2θ = 46.18°, d = 1.966 Å, I = 39
2θ = 53.86°, d = 1.702 Å, I = 13
2θ = 58.71°, d = 1.573 Å, I = 9
2θ = 59.14°, d = 1.562 Å, I = 21
2θ = 65.38°, d = 1.427 Å, I = 10
2θ = 67.38°, d = 1.390 Å, I = 15
2θ = 78.15°, d = 1.223 Å, I = 23

Computed powder diffractogram
Compound: RbHg3Au2
Radiation: Cu Kα, 1.54184 Å
Structure: a DFT-relaxed cell (GGA-PBE, Alexandria)
Kinematic intensities with the Lorentz-polarization factor, no thermal factor.

Cell and atoms:
```
data_RbHg3Au2
_cell_length_a 6.4313
_cell_length_b 6.4313
_cell_length_c 9.1851
_cell_angle_alpha 90.00
_cell_angle_beta 90.00
_cell_angle_gamma 120.00
_space_group_name_H-M_alt 'P 1'
_space_group_IT_number 1
_space_group_name_Hall 'P 1'
loop_
_atom_site_label
_atom_site_fract_x
_atom_site_fract_y
_atom_site_fract_z
Rb1 0.0000 0.0000 0.0000
Rb2 0.0000 0.0000 0.5000
Hg1 0.0000 0.4987 0.2500
Hg2 0.0000 0.5013 0.7500
Hg3 0.4987 0.0000 0.2500
Hg4 0.4987 0.4987 0.7500
Hg5 0.5013 0.0000 0.7500
Hg6 0.5013 0.5013 0.2500
Au1 0.3333 0.6667 0.0000
Au2 0.3333 0.6667 0.5000
Au3 0.6667 0.3333 0.0000
Au4 0.6667 0.3333 0.5000
```

Principal peaks in the range 15 to 90 degrees two-theta, by angle:
2θ = 15.91°, d = 5.570 Å, I = 62
2θ = 32.14°, d = 2.785 Å, I = 30
2θ = 34.04°, d = 2.634 Å, I = 100
2θ = 37.78°, d = 2.381 Å, I = 83
2θ = 39.23°, d = 2.296 Å, I = 29
2θ = 51.59°, d = 1.772 Å, I = 16
2θ = 53.22°, d = 1.721 Å, I = 28
2θ = 57.30°, d = 1.608 Å, I = 29
2θ = 71.65°, d = 1.317 Å, I = 30
2θ = 82.01°, d = 1.175 Å, I = 17

Repeat the tenth record exactly.
Computed powder diffractogram
Compound: SiSb3
Radiation: Cu Kα, 1.54184 Å
Structure: a DFT-relaxed cell (GGA-PBE, Alexandria)
Kinematic intensities with the Lorentz-polarization factor, no thermal factor.

Cell and atoms:
```
data_SiSb3
_cell_length_a 3.9316
_cell_length_b 3.9316
_cell_length_c 7.8613
_cell_angle_alpha 90.00
_cell_angle_beta 90.00
_cell_angle_gamma 120.00
_space_group_name_H-M_alt 'P 1'
_space_group_IT_number 1
_space_group_name_Hall 'P 1'
loop_
_atom_site_label
_atom_site_fract_x
_atom_site_fract_y
_atom_site_fract_z
Si1 0.0000 0.0000 0.0000
Sb1 0.0000 0.0000 0.5000
Sb2 0.3333 0.6667 0.2222
Sb3 0.3333 0.6667 0.7778
```

Principal peaks in the range 15 to 90 degrees two-theta, by angle:
2θ = 26.17°, d = 3.405 Å, I = 44
2θ = 28.57°, d = 3.124 Å, I = 22
2θ = 34.86°, d = 2.574 Å, I = 100
2θ = 46.18°, d = 1.966 Å, I = 39
2θ = 53.86°, d = 1.702 Å, I = 13
2θ = 58.71°, d = 1.573 Å, I = 9
2θ = 59.14°, d = 1.562 Å, I = 21
2θ = 65.38°, d = 1.427 Å, I = 10
2θ = 67.38°, d = 1.390 Å, I = 15
2θ = 78.15°, d = 1.223 Å, I = 23